Structure and calculated powder XRD pattern of Pr6InFe13 (DFT lattice parameters and positions (PBE); λ = 1.5418 Å (Cu Kα)).
Peak positions follow from Bragg's law for the DFT cell and can differ from measured ones.

Main lines, sorted by position (2θ from 10° to 80°):
- 2θ = 27.14°, intensity 91, (2 1 3)
- 2θ = 31.11°, intensity 85, (2 1 5)
- 2θ = 31.34°, intensity 34, (2 2 0)
- 2θ = 31.65°, intensity 45, (2 0 6)
- 2θ = 34.03°, intensity 39, (1 1 8)
- 2θ = 35.15°, intensity 100, (3 1 0)
- 2θ = 37.60°, intensity 69, (2 0 8)
- 2θ = 42.42°, intensity 59, (2 1 9)
- 2θ = 46.54°, intensity 46, (4 1 1)
- 2θ = 57.52°, intensity 35, (3 3 8)

Crystal structure
```
data_Pr6InFe13
_chemical_formula_sum 'Pr24 In4 Fe52'
_space_group_name_H-M_alt 'I 4/m c m'
_space_group_IT_number 140
_space_group_name_Hall '-I 4 2c'
_cell_length_a 8.0733
_cell_length_b 8.0733
_cell_length_c 23.7605
_cell_angle_alpha 90.00
_cell_angle_beta 90.00
_cell_angle_gamma 90.00
loop_
_atom_site_label
_atom_site_type_symbol
_atom_site_fract_x
_atom_site_fract_y
_atom_site_fract_z
Pr1 Pr 0.0000 0.0000 0.1042
Pr2 Pr 0.1636 0.3364 0.1837
In1 In 0.0000 0.0000 0.2500
Fe1 Fe 0.0000 0.5000 0.0000
Fe2 Fe 0.0662 0.2100 0.5000
Fe3 Fe 0.1127 0.3873 0.4081
Fe4 Fe 0.1790 0.3210 0.0575
```